[1]
Starting from a crystal structure in Alexandria, relaxed with GGA-PBE, the X-ray powder pattern of Y6Cd5Sn was calculated for Cu Kα.
Lines closer than 0.1° are merged.

Structure:
a = 5.316 Å, b = 7.439 Å, c = 8.427 Å
α = 90.00°, β = 108.31°, γ = 90.00°
Element x y z (fractional)
Y 0.000 0.248 0.000
Y 0.000 0.752 0.000
Y 0.334 0.252 0.668
Y 0.334 0.748 0.668
Y 0.666 0.252 0.332
Y 0.666 0.748 0.332
Cd 0.166 0.500 0.332
Cd 0.174 0.000 0.349
Cd 0.500 0.500 0.000
Cd 0.826 0.000 0.651
Cd 0.834 0.500 0.668
Sn 0.500 0.000 0.000

Principal peaks in the range 2θ from 15° to 90°, by intensity:
two_theta	Rel. int.
33.88	100
33.72	25
33.61	25
60.41	18
48.35	18
60.75	18
60.27	18
71.28	11
48.98	9
81.78	7



[2]
Starting from a crystal structure in Alexandria, relaxed with GGA-PBE, the X-ray powder pattern of Nd3Sm3Hg4 was calculated for Cu Kα.
Lines closer than 0.1° are merged.

Structure:
a = 3.881 Å, b = 8.773 Å, c = 8.773 Å
α = 90.13°, β = 90.00°, γ = 90.00°
Element x y z (fractional)
Nd 0.000 0.000 0.000
Nd 0.000 0.171 0.502
Nd 0.000 0.502 0.171
Sm 0.000 0.671 0.671
Sm 0.500 0.336 0.836
Sm 0.500 0.836 0.336
Hg 0.500 0.203 0.203
Hg 0.500 0.471 0.471
Hg 0.500 0.702 0.966
Hg 0.500 0.966 0.702

Principal peaks in the range 2θ from 15° to 90°, by intensity:
two_theta	Rel. int.
32.45	100
32.27	50
61.76	20
58.00	19
30.76	13
46.82	12
39.95	10
48.81	9
58.70	9
43.87	9



[3]
Starting from a crystal structure in Alexandria, relaxed with GGA-PBE, the X-ray powder pattern of HfPaAgO6 was calculated for Cu Kα.
Lines closer than 0.1° are merged.

Structure:
a = 5.393 Å, b = 5.393 Å, c = 4.933 Å
α = 90.00°, β = 90.00°, γ = 120.00°
Element x y z (fractional)
Hf 0.000 0.000 0.000
Pa 0.333 0.667 0.500
Ag 0.667 0.333 0.000
O 0.012 0.326 0.241
O 0.012 0.686 0.759
O 0.314 0.326 0.759
O 0.314 0.988 0.241
O 0.674 0.686 0.241
O 0.674 0.988 0.759

Principal peaks in the range 2θ from 15° to 90°, by intensity:
two_theta	Rel. int.
26.28	100
33.22	42
50.12	39
42.85	28
55.27	26
59.36	13
59.61	11
75.95	10
79.70	9
81.33	9



Please write out number 3 again, unchanged.
Starting from a crystal structure in Alexandria, relaxed with GGA-PBE, the X-ray powder pattern of HfPaAgO6 was calculated for Cu Kα.
Lines closer than 0.1° are merged.

Structure:
a = 5.393 Å, b = 5.393 Å, c = 4.933 Å
α = 90.00°, β = 90.00°, γ = 120.00°
Element x y z (fractional)
Hf 0.000 0.000 0.000
Pa 0.333 0.667 0.500
Ag 0.667 0.333 0.000
O 0.012 0.326 0.241
O 0.012 0.686 0.759
O 0.314 0.326 0.759
O 0.314 0.988 0.241
O 0.674 0.686 0.241
O 0.674 0.988 0.759

Principal peaks in the range 2θ from 15° to 90°, by intensity:
two_theta	Rel. int.
26.28	100
33.22	42
50.12	39
42.85	28
55.27	26
59.36	13
59.61	11
75.95	10
79.70	9
81.33	9



Please write out number 3 again, unchanged.
Starting from a crystal structure in Alexandria, relaxed with GGA-PBE, the X-ray powder pattern of HfPaAgO6 was calculated for Cu Kα.
Lines closer than 0.1° are merged.

Structure:
a = 5.393 Å, b = 5.393 Å, c = 4.933 Å
α = 90.00°, β = 90.00°, γ = 120.00°
Element x y z (fractional)
Hf 0.000 0.000 0.000
Pa 0.333 0.667 0.500
Ag 0.667 0.333 0.000
O 0.012 0.326 0.241
O 0.012 0.686 0.759
O 0.314 0.326 0.759
O 0.314 0.988 0.241
O 0.674 0.686 0.241
O 0.674 0.988 0.759

Principal peaks in the range 2θ from 15° to 90°, by intensity:
two_theta	Rel. int.
26.28	100
33.22	42
50.12	39
42.85	28
55.27	26
59.36	13
59.61	11
75.95	10
79.70	9
81.33	9